(1)
# Th6Ga3Os
Calculated X-ray diffraction stick pattern, Cu Ka. Input: the PBE geometry in Alexandria.

Largest 10 diffraction maxima, in order of rising 2θ, 2θ from 5° to 70°:
2theta, intensity
25.94, 26
26.13, 49
26.67, 36
31.95, 53
32.26, 100
33.84, 26
34.27, 47
35.42, 27
40.60, 34
45.76, 26

Crystal structure
Unit cell a=8.3292 b=8.3292 c=8.3292 alpha=91.15 beta=91.15 gamma=91.15
Fractional positions:
Th: 0.1023 0.7612 0.7898
Th: 0.1715 0.4297 0.5236
Th: 0.2102 0.8977 0.2388
Th: 0.2388 0.2102 0.8977
Th: 0.4297 0.5236 0.1715
Th: 0.4764 0.8285 0.5703
Th: 0.5236 0.1715 0.4297
Th: 0.5703 0.4764 0.8285
Th: 0.7612 0.7898 0.1023
Th: 0.7898 0.1023 0.7612
Th: 0.8285 0.5703 0.4764
Th: 0.8977 0.2388 0.2102
Ga: 0.0640 0.5590 0.1442
Ga: 0.1442 0.0640 0.5590
Ga: 0.4410 0.8558 0.9360
Ga: 0.5590 0.1442 0.0640
Ga: 0.8558 0.9360 0.4410
Ga: 0.9360 0.4410 0.8558
Os: 0.0000 0.0000 0.0000
Os: 0.5000 0.5000 0.5000

***

(2)
# La2PrZn4
Calculated X-ray diffraction stick pattern, Cu Ka. Input: the PBE geometry in Alexandria.

Largest 10 diffraction maxima, in order of rising 2θ, 2θ from 5° to 70°:
2theta, intensity
10.32, 15
20.17, 19
21.05, 12
26.43, 15
34.37, 99
34.78, 100
49.70, 34
61.31, 16
62.09, 34
62.34, 18

Crystal structure
Unit cell a=9.0725 b=9.0725 c=9.0725 alpha=33.04 beta=33.04 gamma=33.04
Fractional positions:
La: 0.2435 0.2435 0.2435
La: 0.7565 0.7565 0.7565
Pr: 0.0000 0.0000 0.0000
Zn: 0.1226 0.1226 0.1226
Zn: 0.3749 0.3749 0.3749
Zn: 0.6251 0.6251 0.6251
Zn: 0.8774 0.8774 0.8774

***

(3)
# Tb5Pm3Tm
Calculated X-ray diffraction stick pattern, Cu Ka. Input: the PBE geometry in Alexandria.

Largest 10 diffraction maxima, in order of rising 2θ, 2θ from 5° to 70°:
2theta, intensity
15.47, 57
29.13, 44
29.24, 32
30.66, 32
31.23, 100
31.96, 70
32.15, 100
34.51, 63
39.11, 45
39.28, 43

Crystal structure
Unit cell a=9.5407 b=9.5407 c=9.9279 alpha=121.04 beta=121.04 gamma=73.79
Fractional positions:
Tb: 0.0922 0.5954 0.2531
Tb: 0.2217 0.2217 0.2287
Tb: 0.2445 0.7555 0.0000
Tb: 0.2772 0.2772 0.9605
Tb: 0.4046 0.9078 0.7469
Tb: 0.5954 0.0922 0.2531
Tb: 0.7228 0.7228 0.0395
Tb: 0.7555 0.2445 0.0000
Tb: 0.7783 0.7783 0.7713
Tb: 0.9078 0.4046 0.7469
Pm: 0.0000 0.0000 0.5000
Pm: 0.0078 0.0078 0.8126
Pm: 0.4804 0.4804 0.6418
Pm: 0.5000 0.5000 0.0000
Pm: 0.5196 0.5196 0.3582
Pm: 0.9922 0.9922 0.1874
Tm: 0.2516 0.2516 0.6004
Tm: 0.7484 0.7484 0.3996

***

(4)
# Fe3Pd6Rh2
Calculated X-ray diffraction stick pattern, Cu Ka. Input: the PBE geometry in Alexandria.

Largest 10 diffraction maxima, in order of rising 2θ, 2θ from 5° to 70°:
2theta, intensity
20.77, 3
26.14, 4
34.65, 4
40.49, 20
41.54, 100
41.73, 27
47.64, 9
59.55, 12
60.86, 9
69.72, 6

Crystal structure
Unit cell a=14.0615 b=14.0615 c=14.0615 alpha=168.99 beta=162.29 gamma=20.90
Fractional positions:
Fe: 0.0000 0.0000 0.0000
Fe: 0.1841 0.1841 0.0000
Fe: 0.8159 0.8159 0.0000
Pd: 0.0969 0.5969 0.5000
Pd: 0.2765 0.2765 0.0000
Pd: 0.3665 0.8665 0.5000
Pd: 0.6335 0.1335 0.5000
Pd: 0.7235 0.7235 0.0000
Pd: 0.9031 0.4031 0.5000
Rh: 0.4559 0.4559 0.0000
Rh: 0.5441 0.5441 0.0000

***

(5)
# Ac6IrPtRh2
Calculated X-ray diffraction stick pattern, Cu Ka. Input: the PBE geometry in Alexandria.

Largest 10 diffraction maxima, in order of rising 2θ, 2θ from 5° to 70°:
2theta, intensity
16.06, 15
26.99, 100
35.14, 61
41.70, 44
45.94, 24
50.38, 18
55.65, 16
63.77, 9
67.40, 15
69.19, 20

Crystal structure
Unit cell a=8.2078 b=8.2078 c=8.2078 alpha=54.39 beta=54.39 gamma=54.39
Fractional positions:
Ac: 0.0004 0.3295 0.6701
Ac: 0.1779 0.8229 0.4925
Ac: 0.3295 0.6701 0.0004
Ac: 0.4925 0.1779 0.8229
Ac: 0.6701 0.0004 0.3295
Ac: 0.8229 0.4925 0.1779
Ir: 0.4126 0.4126 0.4126
Pt: 0.9124 0.9124 0.9124
Rh: 0.0841 0.0841 0.0841
Rh: 0.5852 0.5852 0.5852

***

(6)
# AcPmYTm
Calculated X-ray diffraction stick pattern, Cu Ka. Input: the PBE geometry in Alexandria.

Largest 10 diffraction maxima, in order of rising 2θ, 2θ from 5° to 70°:
2theta, intensity
14.75, 8
29.76, 26
29.92, 28
30.95, 100
42.70, 20
45.92, 9
53.57, 19
53.76, 21
55.73, 20
64.50, 12

Crystal structure
Unit cell a=3.9525 b=5.9734 c=12.0086 alpha=90.00 beta=90.00 gamma=90.00
Fractional positions:
Ac: 0.0000 0.0000 0.0000
Ac: 0.5000 0.5000 0.5000
Pm: 0.0000 0.5000 0.7692
Pm: 0.5000 0.0000 0.2692
Y: 0.0000 0.5000 0.2381
Y: 0.5000 0.0000 0.7381
Tm: 0.0000 0.0000 0.5059
Tm: 0.5000 0.5000 0.0059